No. 1
Theoretical PXRD pattern of AgPbO6 for Cu Kα (weighted mean of Kα1 and Kα2), from DFT lattice parameters and positions (PBE).
Kinematic intensities with the Lorentz-polarization factor, no thermal factor.

Cell and atoms:
```
data_AgPbO6
_chemical_formula_sum 'Ag1 Pb1 O6'
_symmetry_space_group_name_H-M 'P 1'
_symmetry_Int_Tables_number 1
_cell_length_a 5.226
_cell_length_b 5.226
_cell_length_c 5.226
_cell_angle_alpha 60.00
_cell_angle_beta 60.00
_cell_angle_gamma 60.00
loop_
_symmetry_equiv_pos_as_xyz
'x,y,z'
loop_
_atom_site_label
_atom_site_fract_x
_atom_site_fract_y
_atom_site_fract_z
_atom_site_occupancy
Ag1 0.000 0.000 0.000 1
Pb1 0.250 0.250 0.250 1
O1 0.270 0.270 0.730 1
O2 0.270 0.730 0.270 1
O3 0.270 0.730 0.730 1
O4 0.730 0.270 0.270 1
O5 0.730 0.270 0.730 1
O6 0.730 0.730 0.270 1
```

Peak list (10 most intense, 15° ≤ 2θ ≤ 90°, low angle first)
d 4.267, 2θ 20.82, intensity 100
d 2.613, 2θ 34.32, intensity 69
d 2.228, 2θ 40.48, intensity 60
d 1.848, 2θ 49.32, intensity 24
d 1.696, 2θ 54.09, intensity 27
d 1.509, 2θ 61.46, intensity 26
d 1.422, 2θ 65.64, intensity 19
d 1.307, 2θ 72.32, intensity 14
d 1.249, 2θ 76.21, intensity 18
d 1.169, 2θ 82.56, intensity 13


No. 2
Theoretical PXRD pattern of RbAgPbO3 for Cu Kα (weighted mean of Kα1 and Kα2), from DFT lattice parameters and positions (PBE).
Kinematic intensities with the Lorentz-polarization factor, no thermal factor.

Cell and atoms:
```
data_RbAgPbO3
_chemical_formula_sum 'Rb4 Ag4 Pb4 O12'
_symmetry_space_group_name_H-M 'P 1'
_symmetry_Int_Tables_number 1
_cell_length_a 12.812
_cell_length_b 3.402
_cell_length_c 10.339
_cell_angle_alpha 90.00
_cell_angle_beta 90.00
_cell_angle_gamma 90.00
loop_
_symmetry_equiv_pos_as_xyz
'x,y,z'
loop_
_atom_site_label
_atom_site_fract_x
_atom_site_fract_y
_atom_site_fract_z
_atom_site_occupancy
Rb1 0.243 0.250 0.128 1
Rb2 0.257 0.750 0.628 1
Rb3 0.743 0.250 0.372 1
Rb4 0.757 0.750 0.872 1
Ag1 0.036 0.250 0.913 1
Ag2 0.464 0.750 0.413 1
Ag3 0.536 0.250 0.587 1
Ag4 0.964 0.750 0.087 1
Pb1 0.021 0.250 0.357 1
Pb2 0.479 0.750 0.857 1
Pb3 0.521 0.250 0.143 1
Pb4 0.979 0.750 0.643 1
O1 0.082 0.250 0.556 1
O2 0.091 0.750 0.802 1
O3 0.111 0.750 0.281 1
O4 0.389 0.250 0.781 1
O5 0.409 0.250 0.302 1
O6 0.418 0.750 0.056 1
O7 0.582 0.250 0.944 1
O8 0.591 0.750 0.698 1
O9 0.611 0.750 0.219 1
O10 0.889 0.250 0.719 1
O11 0.909 0.250 0.198 1
O12 0.918 0.750 0.444 1
```

Peak list (10 most intense, 15° ≤ 2θ ≤ 90°, low angle first)
d 3.328, 2θ 26.79, intensity 28
d 3.293, 2θ 27.08, intensity 58
d 3.231, 2θ 27.61, intensity 25
d 3.203, 2θ 27.85, intensity 44
d 2.774, 2θ 32.27, intensity 100
d 2.585, 2θ 34.71, intensity 29
d 2.366, 2θ 38.04, intensity 69
d 2.275, 2θ 39.62, intensity 24
d 2.011, 2θ 45.08, intensity 26
d 1.702, 2θ 53.87, intensity 27


No. 3
Theoretical PXRD pattern of AgPbSO for Cu Kα (weighted mean of Kα1 and Kα2), from DFT lattice parameters and positions (PBE).
Kinematic intensities with the Lorentz-polarization factor, no thermal factor.

Cell and atoms:
```
data_AgPbSO
_chemical_formula_sum 'Ag8 Pb8 S8 O8'
_symmetry_space_group_name_H-M 'P 1'
_symmetry_Int_Tables_number 1
_cell_length_a 7.233
_cell_length_b 7.289
_cell_length_c 11.666
_cell_angle_alpha 89.99
_cell_angle_beta 89.96
_cell_angle_gamma 90.00
loop_
_symmetry_equiv_pos_as_xyz
'x,y,z'
loop_
_atom_site_label
_atom_site_fract_x
_atom_site_fract_y
_atom_site_fract_z
_atom_site_occupancy
Ag1 0.001 0.250 0.014 1
Ag2 0.001 0.250 0.516 1
Ag3 0.498 0.750 0.516 1
Ag4 0.499 0.750 0.015 1
Ag5 0.501 0.250 0.985 1
Ag6 0.502 0.250 0.484 1
Ag7 0.999 0.750 0.484 1
Ag8 0.999 0.750 0.986 1
Pb1 0.201 0.530 0.246 1
Pb2 0.201 0.969 0.746 1
Pb3 0.298 0.030 0.246 1
Pb4 0.299 0.469 0.746 1
Pb5 0.701 0.531 0.254 1
Pb6 0.702 0.970 0.754 1
Pb7 0.799 0.031 0.254 1
Pb8 0.799 0.470 0.754 1
S1 0.250 0.502 0.995 1
S2 0.250 0.998 0.495 1
S3 0.251 0.002 0.994 1
S4 0.251 0.498 0.495 1
S5 0.749 0.502 0.505 1
S6 0.749 0.998 0.006 1
S7 0.750 0.002 0.505 1
S8 0.750 0.498 0.005 1
O1 0.034 0.267 0.740 1
O2 0.036 0.233 0.239 1
O3 0.464 0.732 0.239 1
O4 0.465 0.768 0.740 1
O5 0.535 0.232 0.260 1
O6 0.536 0.268 0.761 1
O7 0.964 0.767 0.761 1
O8 0.966 0.733 0.260 1
```

Peak list (10 most intense, 15° ≤ 2θ ≤ 90°, low angle first)
d 5.833, 2θ 15.19, intensity 18
d 3.122, 2θ 28.60, intensity 43
d 3.091, 2θ 28.89, intensity 100
d 3.074, 2θ 29.05, intensity 83
d 2.917, 2θ 30.65, intensity 89
d 2.567, 2θ 34.95, intensity 98
d 2.489, 2θ 36.09, intensity 18
d 1.927, 2θ 47.16, intensity 77
d 1.736, 2θ 52.74, intensity 23
d 1.715, 2θ 53.43, intensity 24


No. 4
Theoretical PXRD pattern of AgPbSO for Cu Kα (weighted mean of Kα1 and Kα2), from DFT lattice parameters and positions (PBE).
Kinematic intensities with the Lorentz-polarization factor, no thermal factor.

Cell and atoms:
```
data_AgPbSO
_chemical_formula_sum 'Ag2 Pb2 S2 O2'
_symmetry_space_group_name_H-M 'P 1'
_symmetry_Int_Tables_number 1
_cell_length_a 3.806
_cell_length_b 3.806
_cell_length_c 12.785
_cell_angle_alpha 90.00
_cell_angle_beta 90.00
_cell_angle_gamma 120.00
loop_
_symmetry_equiv_pos_as_xyz
'x,y,z'
loop_
_atom_site_label
_atom_site_fract_x
_atom_site_fract_y
_atom_site_fract_z
_atom_site_occupancy
Ag1 0.000 0.000 0.000 1
Ag2 0.000 0.000 0.500 1
Pb1 0.333 0.667 0.252 1
Pb2 0.667 0.333 0.752 1
S1 0.333 0.667 0.603 1
S2 0.667 0.333 0.103 1
O1 0.000 0.000 0.326 1
O2 0.000 0.000 0.826 1
```

Peak list (10 most intense, 15° ≤ 2θ ≤ 90°, low angle first)
d 3.194, 2θ 27.94, intensity 100
d 2.930, 2θ 30.51, intensity 84
d 2.607, 2θ 34.39, intensity 62
d 2.020, 2θ 44.86, intensity 24
d 1.903, 2θ 47.79, intensity 39
d 1.790, 2θ 51.04, intensity 28
d 1.635, 2θ 56.26, intensity 40
d 1.597, 2θ 57.73, intensity 28
d 1.304, 2θ 72.48, intensity 16
d 1.223, 2θ 78.12, intensity 30


No. 5
Theoretical PXRD pattern of SrAg3Pb4O12 for Cu Kα (weighted mean of Kα1 and Kα2), from DFT lattice parameters and positions (PBE).
Kinematic intensities with the Lorentz-polarization factor, no thermal factor.

Cell and atoms:
```
data_SrAg3Pb4O12
_chemical_formula_sum 'Sr1 Ag3 Pb4 O12'
_symmetry_space_group_name_H-M 'P 1'
_symmetry_Int_Tables_number 1
_cell_length_a 7.102
_cell_length_b 7.102
_cell_length_c 7.102
_cell_angle_alpha 109.47
_cell_angle_beta 109.47
_cell_angle_gamma 109.47
loop_
_symmetry_equiv_pos_as_xyz
'x,y,z'
loop_
_atom_site_label
_atom_site_fract_x
_atom_site_fract_y
_atom_site_fract_z
_atom_site_occupancy
Sr1 0.000 0.000 0.000 1
Ag1 0.000 0.500 0.500 1
Ag2 0.500 0.000 0.500 1
Ag3 0.500 0.500 0.000 1
Pb1 0.000 0.000 0.500 1
Pb2 0.000 0.500 0.000 1
Pb3 0.500 0.000 0.000 1
Pb4 0.500 0.500 0.500 1
O1 0.135 0.832 0.303 1
O2 0.168 0.303 0.472 1
O3 0.168 0.697 0.865 1
O4 0.303 0.135 0.832 1
O5 0.303 0.472 0.168 1
O6 0.472 0.168 0.303 1
O7 0.528 0.832 0.697 1
O8 0.697 0.528 0.832 1
O9 0.697 0.865 0.168 1
O10 0.832 0.303 0.135 1
O11 0.832 0.697 0.528 1
O12 0.865 0.168 0.697 1
```

Peak list (10 most intense, 15° ≤ 2θ ≤ 90°, low angle first)
d 4.101, 2θ 21.67, intensity 14
d 2.900, 2θ 30.84, intensity 100
d 2.050, 2θ 44.17, intensity 22
d 1.834, 2θ 49.72, intensity 8
d 1.674, 2θ 54.84, intensity 46
d 1.450, 2θ 64.25, intensity 13
d 1.367, 2θ 68.67, intensity 3
d 1.297, 2θ 72.96, intensity 18
d 1.184, 2θ 81.27, intensity 5
d 1.096, 2θ 89.41, intensity 23


No. 6
Theoretical PXRD pattern of AgTePbO for Cu Kα (weighted mean of Kα1 and Kα2), from DFT lattice parameters and positions (PBE).
Kinematic intensities with the Lorentz-polarization factor, no thermal factor.

Cell and atoms:
```
data_AgTePbO
_chemical_formula_sum 'Ag8 Te8 Pb8 O8'
_symmetry_space_group_name_H-M 'P 1'
_symmetry_Int_Tables_number 1
_cell_length_a 6.431
_cell_length_b 8.031
_cell_length_c 14.683
_cell_angle_alpha 90.00
_cell_angle_beta 90.00
_cell_angle_gamma 90.00
loop_
_symmetry_equiv_pos_as_xyz
'x,y,z'
loop_
_atom_site_label
_atom_site_fract_x
_atom_site_fract_y
_atom_site_fract_z
_atom_site_occupancy
Ag1 0.131 0.123 0.120 1
Ag2 0.131 0.377 0.620 1
Ag3 0.369 0.623 0.120 1
Ag4 0.369 0.877 0.620 1
Ag5 0.631 0.123 0.380 1
Ag6 0.631 0.377 0.880 1
Ag7 0.869 0.623 0.380 1
Ag8 0.869 0.877 0.880 1
Te1 0.179 0.101 0.506 1
Te2 0.179 0.399 0.006 1
Te3 0.321 0.601 0.506 1
Te4 0.321 0.899 0.006 1
Te5 0.679 0.101 0.994 1
Te6 0.679 0.399 0.494 1
Te7 0.821 0.601 0.994 1
Te8 0.821 0.899 0.494 1
Pb1 0.164 0.178 0.815 1
Pb2 0.164 0.322 0.315 1
Pb3 0.336 0.678 0.815 1
Pb4 0.336 0.822 0.315 1
Pb5 0.664 0.178 0.685 1
Pb6 0.664 0.322 0.185 1
Pb7 0.836 0.678 0.685 1
Pb8 0.836 0.822 0.185 1
O1 0.081 0.661 0.251 1
O2 0.081 0.839 0.751 1
O3 0.419 0.161 0.251 1
O4 0.419 0.339 0.751 1
O5 0.581 0.661 0.249 1
O6 0.581 0.839 0.749 1
O7 0.919 0.161 0.249 1
O8 0.919 0.339 0.749 1
```

Peak list (10 most intense, 15° ≤ 2θ ≤ 90°, low angle first)
d 3.523, 2θ 25.28, intensity 19
d 3.504, 2θ 25.42, intensity 32
d 3.188, 2θ 27.99, intensity 34
d 2.985, 2θ 29.93, intensity 58
d 2.963, 2θ 30.16, intensity 15
d 2.796, 2θ 32.01, intensity 100
d 1.907, 2θ 47.68, intensity 19
d 1.859, 2θ 49.00, intensity 16
d 1.804, 2θ 50.60, intensity 14
d 1.583, 2θ 58.30, intensity 21


No. 7
Theoretical PXRD pattern of AgPdO3 for Cu Kα (weighted mean of Kα1 and Kα2), from DFT lattice parameters and positions (PBE).
Kinematic intensities with the Lorentz-polarization factor, no thermal factor.

Cell and atoms:
```
data_AgPdO3
_chemical_formula_sum 'Ag2 Pd2 O6'
_symmetry_space_group_name_H-M 'P 1'
_symmetry_Int_Tables_number 1
_cell_length_a 5.812
_cell_length_b 5.812
_cell_length_c 5.812
_cell_angle_alpha 54.27
_cell_angle_beta 54.27
_cell_angle_gamma 54.27
loop_
_symmetry_equiv_pos_as_xyz
'x,y,z'
loop_
_atom_site_label
_atom_site_fract_x
_atom_site_fract_y
_atom_site_fract_z
_atom_site_occupancy
Ag1 0.140 0.140 0.140 1
Ag2 0.860 0.860 0.860 1
Pd1 0.340 0.340 0.340 1
Pd2 0.660 0.660 0.660 1
O1 0.061 0.452 0.713 1
O2 0.287 0.939 0.548 1
O3 0.452 0.713 0.061 1
O4 0.548 0.287 0.939 1
O5 0.713 0.061 0.452 1
O6 0.939 0.548 0.287 1
```

Peak list (10 most intense, 15° ≤ 2θ ≤ 90°, low angle first)
d 3.903, 2θ 22.78, intensity 39
d 2.884, 2θ 31.01, intensity 93
d 2.651, 2θ 33.82, intensity 100
d 1.951, 2θ 46.54, intensity 33
d 1.807, 2θ 50.50, intensity 55
d 1.571, 2θ 58.76, intensity 31
d 1.530, 2θ 60.50, intensity 30
d 1.325, 2θ 71.14, intensity 12
d 1.204, 2θ 79.61, intensity 11
d 1.168, 2θ 82.62, intensity 12


No. 8
Theoretical PXRD pattern of AgPdSeO for Cu Kα (weighted mean of Kα1 and Kα2), from DFT lattice parameters and positions (PBE).
Kinematic intensities with the Lorentz-polarization factor, no thermal factor.

Cell and atoms:
```
data_AgPdSeO
_chemical_formula_sum 'Ag4 Pd4 Se4 O4'
_symmetry_space_group_name_H-M 'P 1'
_symmetry_Int_Tables_number 1
_cell_length_a 6.099
_cell_length_b 6.505
_cell_length_c 6.772
_cell_angle_alpha 90.00
_cell_angle_beta 90.00
_cell_angle_gamma 90.00
loop_
_symmetry_equiv_pos_as_xyz
'x,y,z'
loop_
_atom_site_label
_atom_site_fract_x
_atom_site_fract_y
_atom_site_fract_z
_atom_site_occupancy
Ag1 0.004 0.250 0.009 1
Ag2 0.496 0.750 0.509 1
Ag3 0.504 0.250 0.991 1
Ag4 0.996 0.750 0.491 1
Pd1 0.001 0.750 0.001 1
Pd2 0.499 0.250 0.501 1
Pd3 0.501 0.750 0.999 1
Pd4 0.999 0.250 0.499 1
Se1 0.244 0.028 0.735 1
Se2 0.256 0.972 0.235 1
Se3 0.744 0.472 0.265 1
Se4 0.756 0.528 0.765 1
O1 0.249 0.442 0.463 1
O2 0.251 0.558 0.963 1
O3 0.749 0.058 0.537 1
O4 0.751 0.942 0.037 1
```

Peak list (10 most intense, 15° ≤ 2θ ≤ 90°, low angle first)
d 3.386, 2θ 26.32, intensity 43
d 3.252, 2θ 27.42, intensity 27
d 2.694, 2θ 33.25, intensity 31
d 2.346, 2θ 38.38, intensity 99
d 2.266, 2θ 39.78, intensity 90
d 2.225, 2θ 40.55, intensity 100
d 1.859, 2θ 49.00, intensity 30
d 1.347, 2θ 69.81, intensity 35
d 1.321, 2θ 71.40, intensity 29
d 1.278, 2θ 74.18, intensity 28


No. 9
Theoretical PXRD pattern of AgTePdO for Cu Kα (weighted mean of Kα1 and Kα2), from DFT lattice parameters and positions (PBE).
Kinematic intensities with the Lorentz-polarization factor, no thermal factor.

Cell and atoms:
```
data_AgTePdO
_chemical_formula_sum 'Ag4 Te4 Pd4 O4'
_symmetry_space_group_name_H-M 'P 1'
_symmetry_Int_Tables_number 1
_cell_length_a 3.602
_cell_length_b 14.715
_cell_length_c 5.751
_cell_angle_alpha 90.00
_cell_angle_beta 90.00
_cell_angle_gamma 90.00
loop_
_symmetry_equiv_pos_as_xyz
'x,y,z'
loop_
_atom_site_label
_atom_site_fract_x
_atom_site_fract_y
_atom_site_fract_z
_atom_site_occupancy
Ag1 0.000 0.000 0.000 1
Ag2 0.000 0.000 0.500 1
Ag3 0.500 0.500 0.000 1
Ag4 0.500 0.500 0.500 1
Te1 0.000 0.317 0.249 1
Te2 0.000 0.683 0.749 1
Te3 0.500 0.183 0.749 1
Te4 0.500 0.817 0.249 1
Pd1 0.000 0.309 0.749 1
Pd2 0.000 0.691 0.249 1
Pd3 0.500 0.191 0.249 1
Pd4 0.500 0.809 0.749 1
O1 0.000 0.103 0.249 1
O2 0.000 0.897 0.749 1
O3 0.500 0.397 0.749 1
O4 0.500 0.603 0.249 1
```

Peak list (10 most intense, 15° ≤ 2θ ≤ 90°, low angle first)
d 2.903, 2θ 30.80, intensity 100
d 2.678, 2θ 33.46, intensity 57
d 2.453, 2θ 36.64, intensity 22
d 2.222, 2θ 40.61, intensity 32
d 1.801, 2θ 50.69, intensity 15
d 1.786, 2θ 51.14, intensity 52
d 1.550, 2θ 59.67, intensity 16
d 1.495, 2θ 62.10, intensity 18
d 1.288, 2θ 73.50, intensity 16
d 1.175, 2θ 82.04, intensity 12


No. 10
Theoretical PXRD pattern of PmAgO2 for Cu Kα (weighted mean of Kα1 and Kα2), from DFT lattice parameters and positions (PBE).
Kinematic intensities with the Lorentz-polarization factor, no thermal factor.

Cell and atoms:
```
data_PmAgO2
_chemical_formula_sum 'Pm3 Ag3 O6'
_symmetry_space_group_name_H-M 'P 1'
_symmetry_Int_Tables_number 1
_cell_length_a 3.663
_cell_length_b 3.663
_cell_length_c 18.680
_cell_angle_alpha 90.00
_cell_angle_beta 90.00
_cell_angle_gamma 120.00
loop_
_symmetry_equiv_pos_as_xyz
'x,y,z'
loop_
_atom_site_label
_atom_site_fract_x
_atom_site_fract_y
_atom_site_fract_z
_atom_site_occupancy
Pm1 0.000 0.329 0.333 1
Pm2 0.329 0.000 0.667 1
Pm3 0.671 0.671 0.000 1
Ag1 0.000 0.335 0.833 1
Ag2 0.335 0.000 0.167 1
Ag3 0.665 0.665 0.500 1
O1 0.004 0.337 0.944 1
O2 0.333 0.996 0.277 1
O3 0.337 0.004 0.056 1
O4 0.663 0.667 0.610 1
O5 0.667 0.663 0.390 1
O6 0.996 0.333 0.723 1
```

Peak list (10 most intense, 15° ≤ 2θ ≤ 90°, low angle first)
d 3.113, 2θ 28.67, intensity 30
d 3.004, 2θ 29.74, intensity 100
d 2.624, 2θ 34.17, intensity 51
d 1.881, 2θ 48.40, intensity 29
d 1.832, 2θ 49.78, intensity 28
d 1.610, 2θ 57.23, intensity 17
d 1.579, 2θ 58.46, intensity 24
d 1.564, 2θ 59.07, intensity 14
d 1.189, 2θ 80.81, intensity 11
d 1.186, 2θ 81.07, intensity 10


No. 11
Theoretical PXRD pattern of PmAgSO for Cu Kα (weighted mean of Kα1 and Kα2), from DFT lattice parameters and positions (PBE).
Kinematic intensities with the Lorentz-polarization factor, no thermal factor.

Cell and atoms:
```
data_PmAgSO
_chemical_formula_sum 'Pm4 Ag4 S4 O4'
_symmetry_space_group_name_H-M 'P 1'
_symmetry_Int_Tables_number 1
_cell_length_a 5.606
_cell_length_b 5.625
_cell_length_c 9.200
_cell_angle_alpha 90.00
_cell_angle_beta 90.00
_cell_angle_gamma 90.00
loop_
_symmetry_equiv_pos_as_xyz
'x,y,z'
loop_
_atom_site_label
_atom_site_fract_x
_atom_site_fract_y
_atom_site_fract_z
_atom_site_occupancy
Pm1 0.000 0.000 0.000 1
Pm2 0.000 0.500 0.258 1
Pm3 0.500 0.000 0.258 1
Pm4 0.500 0.500 0.000 1
Ag1 0.200 0.177 0.636 1
Ag2 0.300 0.677 0.636 1
Ag3 0.700 0.323 0.636 1
Ag4 0.800 0.823 0.636 1
S1 0.000 0.000 0.417 1
S2 0.000 0.500 0.825 1
S3 0.500 0.000 0.825 1
S4 0.500 0.500 0.417 1
O1 0.250 0.249 0.127 1
O2 0.250 0.749 0.127 1
O3 0.750 0.251 0.127 1
O4 0.750 0.751 0.127 1
```

Peak list (10 most intense, 15° ≤ 2θ ≤ 90°, low angle first)
d 4.600, 2θ 19.29, intensity 24
d 3.646, 2θ 24.42, intensity 34
d 3.067, 2θ 29.12, intensity 32
d 3.006, 2θ 29.72, intensity 100
d 2.690, 2θ 33.31, intensity 28
d 2.681, 2θ 33.42, intensity 37
d 2.426, 2θ 37.05, intensity 44
d 2.396, 2θ 37.54, intensity 34
d 1.985, 2θ 45.70, intensity 35
d 1.779, 2θ 51.35, intensity 42